Record 1
Starting from a cell relaxed with GGA-PBE, the powder diffraction line list of Bi10Te10Pt was computed for CuKα.
Kinematic intensities with the Lorentz-polarization factor, no thermal factor.

Main lines, low angle first (15 to 90 degrees two-theta):
2θ (°), d [Å], Rel. int.
25.74, 3.462, 100
29.21, 3.057, 39
30.43, 2.938, 32
31.91, 2.805, 49
34.24, 2.619, 28
39.82, 2.264, 47
41.25, 2.189, 38
42.29, 2.137, 39

Crystal structure
```
42
Lattice="12.448 0.000 0.000 0.000 13.534 0.000 0.000 0.000 8.756" Properties=species:S:1:pos:R:3 pbc="T T T"
Bi 0.000 0.000 2.163
Bi 0.000 0.000 6.592
Bi 1.678 5.610 2.469
Bi 1.678 5.610 6.286
Bi 1.916 8.931 4.378
Bi 2.592 7.519 0.000
Bi 3.631 0.752 0.000
Bi 4.307 2.164 4.378
Bi 4.546 12.377 2.469
Bi 4.546 12.377 6.286
Bi 6.224 6.767 2.163
Bi 6.224 6.767 6.592
Bi 7.901 1.157 2.469
Bi 7.901 1.157 6.286
Bi 8.140 11.370 4.378
Bi 8.816 12.782 0.000
Bi 9.855 6.015 0.000
Bi 10.531 4.603 4.378
Bi 10.770 7.924 2.469
Bi 10.770 7.924 6.286
Te 0.140 4.525 0.000
Te 1.522 11.962 0.000
Te 1.846 12.088 4.378
Te 2.153 2.393 2.268
Te 2.153 2.393 6.488
Te 4.071 9.160 2.268
Te 4.071 9.160 6.488
Te 4.377 5.321 4.378
Te 4.702 5.195 0.000
Te 6.084 11.292 0.000
Te 6.364 2.242 0.000
Te 7.746 8.339 0.000
Te 8.070 8.213 4.378
Te 8.377 4.374 2.268
Te 8.377 4.374 6.488
Te 10.295 11.141 2.268
Te 10.295 11.141 6.488
Te 10.601 1.446 4.378
Te 10.925 1.572 0.000
Te 12.308 9.009 0.000
Pt 0.000 6.767 4.378
Pt 6.224 0.000 4.378
```


Record 2
Starting from a cell relaxed with GGA-PBE, the powder diffraction line list of PuBi was computed for CuKα.
Kinematic intensities with the Lorentz-polarization factor, no thermal factor.

Main lines, low angle first (15 to 90 degrees two-theta):
2θ (°), d [Å], Rel. int.
30.49, 2.932, 68
34.43, 2.605, 100
43.66, 2.073, 26
56.76, 1.622, 50
64.06, 1.454, 17
72.03, 1.311, 12
72.59, 1.302, 12
74.24, 1.277, 11

Crystal structure
```
2
Lattice="4.146 0.000 0.000 0.000 4.146 0.000 0.000 0.000 3.348" Properties=species:S:1:pos:R:3 pbc="T T T"
Pu 0.000 0.000 0.000
Bi 2.073 2.073 1.674
```


Record 3
Starting from a cell relaxed with GGA-PBE, the powder diffraction line list of Rb2Zn2BiSb was computed for CuKα.
Kinematic intensities with the Lorentz-polarization factor, no thermal factor.

Main lines, low angle first (15 to 90 degrees two-theta):
2θ (°), d [Å], Rel. int.
21.18, 4.194, 27
26.16, 3.407, 46
27.95, 3.192, 100
33.68, 2.661, 76
37.33, 2.409, 60
46.61, 1.948, 34
47.27, 1.923, 47
61.18, 1.515, 30

Crystal structure
```
6
Lattice="4.818 0.000 0.000 0.000 4.818 0.000 0.000 0.000 8.521" Properties=species:S:1:pos:R:3 pbc="T T T"
Rb 0.000 0.000 0.000
Rb 2.409 2.409 2.800
Zn 0.000 2.409 5.601
Zn 2.409 0.000 5.601
Bi 2.409 2.409 7.206
Sb 0.000 0.000 4.096
```


Record 4
Starting from a cell relaxed with GGA-PBE, the powder diffraction line list of Rb2ZnBi2Se5 was computed for CuKα.
Kinematic intensities with the Lorentz-polarization factor, no thermal factor.

Main lines, low angle first (15 to 90 degrees two-theta):
2θ (°), d [Å], Rel. int.
21.86, 4.066, 24
27.17, 3.282, 46
28.39, 3.144, 100
30.33, 2.947, 32
30.50, 2.931, 29
37.98, 2.369, 30
39.86, 2.262, 28
42.23, 2.140, 40

Crystal structure
```
40
Lattice="15.943 0.000 0.000 0.000 4.279 0.000 0.000 0.000 18.912" Properties=species:S:1:pos:R:3 pbc="T T T"
Rb 0.092 1.070 2.326
Rb 0.630 3.210 7.254
Rb 7.342 1.070 16.710
Rb 7.879 3.210 11.782
Rb 8.064 1.070 7.130
Rb 8.601 3.210 2.202
Rb 15.313 1.070 11.658
Rb 15.850 3.210 16.586
Zn 3.235 1.070 16.192
Zn 4.736 3.210 6.736
Zn 11.206 1.070 12.176
Zn 12.708 3.210 2.720
Bi 3.274 3.210 13.216
Bi 3.946 3.210 0.325
Bi 4.026 1.070 9.781
Bi 4.697 1.070 3.760
Bi 11.246 3.210 15.152
Bi 11.917 3.210 9.131
Bi 11.997 1.070 18.587
Bi 12.669 1.070 5.696
Se 1.553 1.070 14.321
Se 2.036 3.210 10.585
Se 2.104 1.070 18.405
Se 2.820 3.210 2.877
Se 3.346 1.070 6.518
Se 4.626 3.210 15.974
Se 5.151 1.070 12.333
Se 5.867 3.210 8.949
Se 5.935 1.070 1.129
Se 6.418 3.210 4.865
Se 9.524 1.070 14.047
Se 10.008 3.210 17.783
Se 10.076 1.070 9.963
Se 10.791 3.210 6.579
Se 11.317 1.070 2.938
Se 12.597 3.210 12.394
Se 13.123 1.070 16.035
Se 13.839 3.210 0.507
Se 13.906 1.070 8.327
Se 14.390 3.210 4.591
```


Record 5
Starting from a cell relaxed with GGA-PBE, the powder diffraction line list of Re3Bi4 was computed for CuKα.
Kinematic intensities with the Lorentz-polarization factor, no thermal factor.

Main lines, low angle first (15 to 90 degrees two-theta):
2θ (°), d [Å], Rel. int.
28.36, 3.147, 46
29.97, 2.981, 45
32.11, 2.787, 100
33.09, 2.707, 43
35.95, 2.498, 45
39.17, 2.300, 43
40.39, 2.233, 68
48.32, 1.884, 49

Crystal structure
```
7
Lattice="7.499 -1.675 0.000 7.499 1.675 0.000 -2.699 0.000 6.294" Properties=species:S:1:pos:R:3 pbc="T T T"
Re 0.000 0.000 0.000
Re 2.965 0.000 2.141
Re 9.333 0.000 4.154
Bi 0.201 0.000 2.705
Bi 5.239 0.000 0.177
Bi 7.059 0.000 6.117
Bi 12.097 0.000 3.590
```


Record 6
Starting from a cell relaxed with GGA-PBE, the powder diffraction line list of ScReBi was computed for CuKα.
Kinematic intensities with the Lorentz-polarization factor, no thermal factor.

Main lines, low angle first (15 to 90 degrees two-theta):
2θ (°), d [Å], Rel. int.
23.59, 3.771, 76
39.00, 2.309, 100
46.09, 1.969, 40
56.34, 1.633, 17
61.92, 1.499, 17
70.65, 1.333, 35
75.65, 1.257, 13
88.57, 1.104, 14

Crystal structure
```
3
Lattice="0.000 3.266 3.266 3.266 0.000 3.266 3.266 3.266 0.000" Properties=species:S:1:pos:R:3 pbc="T T T"
Sc 0.000 0.000 0.000
Re 4.899 4.899 4.899
Bi 3.266 3.266 3.266
```


Q: Number 1 is which compound?
A: Bi10Te10Pt